Theoretical powder X-ray diffraction pattern of NiSeO5 for a wavelength of 1.5418 Å, from the PBE+U geometry in the Materials Project.
Lines closer than 0.1° are merged.

Crystal structure
```
14
Lattice="3.556 -4.060 0.000 3.556 4.060 0.000 -2.908 0.000 6.254" Properties=species:S:1:pos:R:3 pbc="T T T"
Ni 0.000 0.000 0.000
Ni -1.454 0.000 3.127
Se 1.374 1.361 4.691
Se 2.829 -1.361 1.564
O 2.829 3.373 1.564
O 0.248 2.315 5.514
O 0.542 0.406 3.615
O 2.501 2.315 3.867
O 1.996 -0.406 0.488
O 2.207 0.406 5.766
O 1.702 -2.315 2.387
O 3.661 -0.406 2.639
O 3.955 -2.315 0.740
O 1.374 -3.373 4.691
```

Peak list (10 most intense, 2θ = 10–90°, by intensity)
2θ (°)  intensity
26.1  100
18.6  87
28.2  72
27.7  64
36.0  43
36.3  35
33.6  33
54.5  23
17.6  22
41.2  21